TlCd2Pb: calculated X-ray diffraction stick pattern (copper Kα), based on a DFT-relaxed cell (PBE, Alexandria).

Cell and atoms:
Cell lengths 3.4218, 5.2695, 12.3540 Å; angles 90.00, 97.81, 90.00 degrees
Positions (direct):
Tl 0.2031 0.0000 0.4166
Tl 0.7969 0.5000 0.5834
Cd 0.0317 0.5023 0.0674
Cd 0.4279 0.5013 0.8555
Cd 0.5721 0.0013 0.1445
Cd 0.9683 0.0023 0.9326
Pb 0.3591 0.0003 0.7071
Pb 0.6409 0.5003 0.2929

Top 8 peaks for 5° ≤ 2θ ≤ 70°, by angle:
two_theta	intensity	h k l
27.7	47	0 1 3
31.4	70	1 1 -1
31.9	52	1 0 2
33.1	47	1 1 -2
33.9	100	0 1 4
34.0	73	0 2 0
36.3	71	1 1 2
65.0	38	2 2 -1